Entry 1:
The following is a computed PXRD pattern of KGdNb6Cl18. It was derived from a crystal structure in Alexandria, relaxed with PBE, using Cu Kα (weighted mean of Kα1 and Kα2).
Neutral-atom scattering factors, no anomalous dispersion.

The 10 most intense peaks (10° ≤ 2θ ≤ 90°), in order of falling intensity:
d [Å], 2θ/deg, I_rel
6.981, 12.68, 100.0
2.681, 33.42, 33.0
2.251, 40.06, 23.9
7.897, 11.21, 20.3
1.809, 50.44, 15.6
4.186, 21.23, 14.2
2.391, 37.62, 12.3
8.625, 10.26, 11.9
2.093, 43.23, 9.6
2.632, 34.06, 9.5

```
data_KGdNb6Cl18
_chemical_formula_sum 'K1 Gd1 Nb6 Cl18'
_cell_length_a 10.245
_cell_length_b 10.245
_cell_length_c 10.245
_cell_angle_alpha 55.72
_cell_angle_beta 55.72
_cell_angle_gamma 55.72
_space_group_name_H-M_alt 'P 1'
_space_group_IT_number 1
_space_group_name_Hall 'P 1'
loop_
_atom_site_label
_atom_site_fract_x
_atom_site_fract_y
_atom_site_fract_z
_atom_site_occupancy
K1 0.000 0.000 0.000 1
Gd1 0.722 0.722 0.722 1
Nb1 0.024 0.132 0.370 1
Nb2 0.073 0.418 0.311 1
Nb3 0.132 0.370 0.024 1
Nb4 0.311 0.073 0.418 1
Nb5 0.370 0.024 0.132 1
Nb6 0.418 0.311 0.073 1
Cl1 0.018 0.559 0.767 1
Cl2 0.092 0.943 0.631 1
Cl3 0.152 0.279 0.560 1
Cl4 0.163 0.883 0.290 1
Cl5 0.279 0.560 0.152 1
Cl6 0.290 0.163 0.883 1
Cl7 0.350 0.498 0.813 1
Cl8 0.419 0.883 0.682 1
Cl9 0.498 0.813 0.350 1
Cl10 0.559 0.767 0.018 1
Cl11 0.560 0.152 0.279 1
Cl12 0.631 0.092 0.943 1
Cl13 0.682 0.419 0.883 1
Cl14 0.767 0.018 0.559 1
Cl15 0.813 0.350 0.498 1
Cl16 0.883 0.290 0.163 1
Cl17 0.883 0.682 0.419 1
Cl18 0.943 0.631 0.092 1
```



Entry 2:
The following is a computed PXRD pattern of AlGeIO2. It was derived from a crystal structure in Alexandria, relaxed with PBE, using Cu Kα (weighted mean of Kα1 and Kα2).
Neutral-atom scattering factors, no anomalous dispersion.

The 10 most intense peaks (10° ≤ 2θ ≤ 90°), in order of falling intensity:
d [Å], 2θ/deg, I_rel
2.461, 36.51, 100.0
5.531, 16.02, 83.3
2.748, 32.58, 60.0
2.765, 32.37, 55.8
1.949, 46.59, 45.2
1.590, 58.01, 38.8
1.943, 46.75, 38.2
3.886, 22.88, 24.1
1.531, 60.47, 21.1
1.833, 49.73, 19.9

```
data_AlGeIO2
_chemical_formula_sum 'Al1 Ge1 I1 O2'
_cell_length_a 3.886
_cell_length_b 3.886
_cell_length_c 5.531
_cell_angle_alpha 90.00
_cell_angle_beta 90.00
_cell_angle_gamma 90.00
_space_group_name_H-M_alt 'P 1'
_space_group_IT_number 1
_space_group_name_Hall 'P 1'
loop_
_atom_site_label
_atom_site_fract_x
_atom_site_fract_y
_atom_site_fract_z
_atom_site_occupancy
Al1 0.000 0.000 0.000 1
Ge1 0.500 0.500 0.500 1
I1 0.000 0.000 0.500 1
O1 0.000 0.500 0.000 1
O2 0.500 0.000 0.000 1
```



Entry 3:
The following is a computed PXRD pattern of PaIn2Sn. It was derived from a crystal structure in Alexandria, relaxed with PBE, using Cu Kα (weighted mean of Kα1 and Kα2).
Neutral-atom scattering factors, no anomalous dispersion.

The 10 most intense peaks (10° ≤ 2θ ≤ 90°), in order of falling intensity:
d [Å], 2θ/deg, I_rel
2.682, 33.41, 100.0
2.220, 40.64, 29.3
1.683, 54.53, 24.9
1.355, 69.36, 24.3
2.580, 34.77, 22.5
1.509, 61.46, 17.4
1.341, 70.17, 11.8
1.570, 58.82, 9.9
4.079, 21.79, 9.1
1.115, 87.44, 6.9

```
data_PaIn2Sn
_chemical_formula_sum 'Pa2 In4 Sn2'
_cell_length_a 4.440
_cell_length_b 4.440
_cell_length_c 10.321
_cell_angle_alpha 90.00
_cell_angle_beta 90.00
_cell_angle_gamma 90.00
_space_group_name_H-M_alt 'P 1'
_space_group_IT_number 1
_space_group_name_Hall 'P 1'
loop_
_atom_site_label
_atom_site_fract_x
_atom_site_fract_y
_atom_site_fract_z
_atom_site_occupancy
Pa1 0.000 0.000 0.000 1
Pa2 0.500 0.500 0.500 1
In1 0.000 0.500 0.250 1
In2 0.000 0.500 0.750 1
In3 0.500 0.000 0.250 1
In4 0.500 0.000 0.750 1
Sn1 0.000 0.000 0.500 1
Sn2 0.500 0.500 0.000 1
```